Structure and computed XRD peak list of ThTc2BC (a PBE-relaxed structure; Cu Kα).
No peak broadening, texture or thermal motion is included.

Structure:
Cell lengths 3.746, 10.825, 7.237 Å; angles 90.00, 90.00, 90.00 degrees
Space group Cmcm (No. 63)
Unique sites:
Th1 0.000 0.041 0.250 [4 per cell]
Tc1 0.000 0.320 0.062 [8 per cell]
B1 0.000 0.235 0.750 [4 per cell]
C1 0.000 0.500 0.000 [4 per cell]

The 12 most intense peaks (2θ = 10–80°), in order of rising 2θ:
| d/Å | I (rel.) |
| --- | --- |
| 3.540 | 13 |
| 3.180 | 21 |
| 3.008 | 47 |
| 2.599 | 53 |
| 2.532 | 100 |
| 2.446 | 16 |
| 2.203 | 18 |
| 1.873 | 19 |
| 1.768 | 13 |
| 1.590 | 15 |
| 1.506 | 12 |
| 1.480 | 16 |